[1]
Structure and theoretical XRD peak list of ThGe2Pt2 (a crystal structure in the Materials Project, relaxed with PBE; Cu Kα (λ = 1.5418 Å)).
Neutral-atom scattering factors, no anomalous dispersion.

```
data_ThGe2Pt2
_symmetry_space_group_name_H-M 'P 4/n m m'
_symmetry_Int_Tables_number 129
_cell_length_a 4.3675
_cell_length_b 4.3675
_cell_length_c 10.1902
_cell_angle_alpha 90.00
_cell_angle_beta 90.00
_cell_angle_gamma 90.00
loop_
_symmetry_equiv_pos_as_xyz
'x,y,z'
'-x,-y,-z'
'-y+1/2,x,z'
'y+1/2,-x,-z'
'-x+1/2,-y+1/2,z'
'x+1/2,y+1/2,-z'
'y,-x+1/2,z'
'-y,x+1/2,-z'
'x+1/2,-y,-z'
'-x+1/2,y,z'
'-y,-x,-z'
'y,x,z'
'-x,y+1/2,-z'
'x,-y+1/2,z'
'y+1/2,x+1/2,-z'
'-y+1/2,-x+1/2,z'
loop_
_atom_site_label
_atom_site_type_symbol
_atom_site_fract_x
_atom_site_fract_y
_atom_site_fract_z
Th1 Th 0.2500 0.2500 0.2452
Ge1 Ge 0.2500 0.2500 0.8659
Ge2 Ge 0.2500 0.7500 0.5000
Pt1 Pt 0.2500 0.2500 0.6247
Pt2 Pt 0.2500 0.7500 0.0000
```

The 6 most intense peaks (2θ = 15–90°), low angle first:
(1 0 3), 33.42°, rel. 68
(1 1 2), 33.94°, rel. 100
(2 0 0), 41.35°, rel. 68
(1 0 5), 49.34°, rel. 25
(2 1 3), 54.17°, rel. 35
(3 1 2), 70.67°, rel. 25

[2]
Structure and theoretical XRD peak list of ThGe12Pt4 (a crystal structure in the Materials Project, relaxed with PBE; Cu Kα (λ = 1.5418 Å)).
Neutral-atom scattering factors, no anomalous dispersion.

```
data_ThGe12Pt4
_symmetry_space_group_name_H-M 'I m -3'
_symmetry_Int_Tables_number 204
_symmetry_space_group_name_Hall '-I 2 2 3'
_cell_length_a 8.7297
_cell_length_b 8.7297
_cell_length_c 8.7297
_cell_angle_alpha 90.00
_cell_angle_beta 90.00
_cell_angle_gamma 90.00
loop_
_atom_site_label
_atom_site_type_symbol
_atom_site_fract_x
_atom_site_fract_y
_atom_site_fract_z
Th1 Th 0.0000 0.0000 0.0000
Ge1 Ge 0.0000 0.3544 0.1517
Pt1 Pt 0.2500 0.2500 0.2500
```

The 6 most intense peaks (2θ = 15–90°), low angle first:
(2 2 0), 28.93°, rel. 100
(3 0 1), 32.43°, rel. 79
(3 1 2), 38.59°, rel. 45
(4 0 2), 46.52°, rel. 51
(4 2 2), 51.27°, rel. 81
(4 3 1), 53.52°, rel. 36

[3]
Structure and theoretical XRD peak list of TmGe2Pt (a crystal structure in the Materials Project, relaxed with PBE; Cu Kα (λ = 1.5418 Å)).
Neutral-atom scattering factors, no anomalous dispersion.

```
data_TmGe2Pt
_symmetry_space_group_name_H-M 'I m m m'
_symmetry_Int_Tables_number 71
_symmetry_space_group_name_Hall '-I 2 2'
_cell_length_a 4.3356
_cell_length_b 8.7692
_cell_length_c 16.2750
_cell_angle_alpha 90.00
_cell_angle_beta 90.00
_cell_angle_gamma 90.00
loop_
_atom_site_label
_atom_site_type_symbol
_atom_site_fract_x
_atom_site_fract_y
_atom_site_fract_z
Tm1 Tm 0.0000 0.0000 0.2031
Tm2 Tm 0.0000 0.2365 0.0000
Ge1 Ge 0.0000 0.0000 0.4262
Ge2 Ge 0.0000 0.3493 0.1994
Ge3 Ge 0.0000 0.5000 0.4257
Pt1 Pt 0.0000 0.2505 0.3527
```

The 6 most intense peaks (2θ = 15–90°), low angle first:
(1 2 3), 33.43°, rel. 100
(1 0 5), 34.45°, rel. 44
(0 2 6), 39.05°, rel. 27
(0 4 0), 41.18°, rel. 19
(2 0 0), 41.66°, rel. 35
(1 4 3), 49.53°, rel. 17

[4]
Structure and theoretical XRD peak list of Tm2Ge3Pt9 (a crystal structure in the Materials Project, relaxed with PBE; Cu Kα (λ = 1.5418 Å)).
Neutral-atom scattering factors, no anomalous dispersion.

```
data_Tm2Ge3Pt9
_symmetry_space_group_name_H-M 'C 1 2/c 1'
_symmetry_Int_Tables_number 15
_cell_length_a 13.4961
_cell_length_b 7.8411
_cell_length_c 10.0610
_cell_angle_alpha 90.00
_cell_angle_beta 116.59
_cell_angle_gamma 90.00
loop_
_symmetry_equiv_pos_as_xyz
'x,y,z'
'-x,-y,-z'
'-x,y,-z+1/2'
'x,-y,z+1/2'
'x+1/2,y+1/2,z'
'-x+1/2,-y+1/2,-z'
'-x+1/2,y+1/2,-z+1/2'
'x+1/2,-y+1/2,z+1/2'
loop_
_atom_site_label
_atom_site_type_symbol
_atom_site_fract_x
_atom_site_fract_y
_atom_site_fract_z
Tm1 Tm 0.1699 0.0855 0.2507
Ge1 Ge 0.0896 0.2284 0.4977
Ge2 Ge 0.2500 0.2500 0.0000
Pt1 Pt 0.0000 0.3646 0.2500
Pt2 Pt 0.0583 0.0804 0.9216
Pt3 Pt 0.1069 0.3093 0.7437
Pt4 Pt 0.1135 0.4089 0.0768
Pt5 Pt 0.2234 0.4161 0.4203
```

The 6 most intense peaks (2θ = 15–90°), low angle first:
(0 2 3), 37.81°, rel. 100
(3 3 -1), 39.89°, rel. 44
(6 0 -2), 40.09°, rel. 26
(6 2 -2), 46.58°, rel. 15
(6 2 -5), 56.25°, rel. 12
(6 4 1), 71.12°, rel. 15

[5]
Structure and theoretical XRD peak list of Y2Ge6Pt (a crystal structure in the Materials Project, relaxed with PBE; Cu Kα (λ = 1.5418 Å)).
Neutral-atom scattering factors, no anomalous dispersion.

```
data_Y2Ge6Pt
_symmetry_space_group_name_H-M 'A m m 2'
_symmetry_Int_Tables_number 38
_cell_length_a 4.1259
_cell_length_b 4.1154
_cell_length_c 21.9007
_cell_angle_alpha 90.00
_cell_angle_beta 90.00
_cell_angle_gamma 90.00
loop_
_symmetry_equiv_pos_as_xyz
'x,y,z'
'-x,-y,z'
'-x,y,z'
'x,-y,z'
'x,y+1/2,z+1/2'
'-x,-y+1/2,z+1/2'
'-x,y+1/2,z+1/2'
'x,-y+1/2,z+1/2'
loop_
_atom_site_label
_atom_site_type_symbol
_atom_site_fract_x
_atom_site_fract_y
_atom_site_fract_z
Y1 Y 0.0000 0.0000 0.0000
Y2 Y 0.0000 0.0000 0.3369
Ge1 Ge 0.0000 0.0000 0.6008
Ge2 Ge 0.0000 0.0000 0.7148
Ge3 Ge 0.5000 0.0000 0.1001
Ge4 Ge 0.5000 0.0000 0.2144
Ge5 Ge 0.5000 0.0000 0.4603
Ge6 Ge 0.5000 0.0000 0.8908
Pt1 Pt 0.5000 0.0000 0.7801
```

The 6 most intense peaks (2θ = 15–90°), low angle first:
(1 0 6), 32.75°, rel. 27
(1 1 3), 33.10°, rel. 100
(1 1 7), 42.39°, rel. 27
(0 1 9), 43.19°, rel. 20
(2 0 0), 43.89°, rel. 26
(0 2 0), 44.01°, rel. 26

[6]
Structure and theoretical XRD peak list of YGe2Pt2 (a crystal structure in the Materials Project, relaxed with PBE; Cu Kα (λ = 1.5418 Å)).
Neutral-atom scattering factors, no anomalous dispersion.

```
data_YGe2Pt2
_symmetry_space_group_name_H-M 'P m n 21'
_symmetry_Int_Tables_number 31
_cell_length_a 4.3312
_cell_length_b 10.1929
_cell_length_c 4.3150
_cell_angle_alpha 90.00
_cell_angle_beta 90.00
_cell_angle_gamma 90.00
loop_
_symmetry_equiv_pos_as_xyz
'x,y,z'
'-x+1/2,-y,z+1/2'
'-x,y,z'
'x+1/2,-y,z+1/2'
loop_
_atom_site_label
_atom_site_type_symbol
_atom_site_fract_x
_atom_site_fract_y
_atom_site_fract_z
Y1 Y 0.0000 0.2503 0.0000
Ge1 Ge 0.0000 0.0006 0.5200
Ge2 Ge 0.0000 0.6347 0.9758
Pt1 Pt 0.0000 0.5001 0.4744
Pt2 Pt 0.0000 0.8726 0.0207
```

The 6 most intense peaks (2θ = 15–90°), low angle first:
(1 1 1), 30.53°, rel. 38
(1 3 0), 33.55°, rel. 53
(1 2 1), 34.20°, rel. 100
(2 0 0), 41.71°, rel. 41
(0 0 2), 41.87°, rel. 38
(1 4 1), 46.39°, rel. 60

[7]
Structure and theoretical XRD peak list of YGePt (a crystal structure in the Materials Project, relaxed with PBE; Cu Kα (λ = 1.5418 Å)).
Neutral-atom scattering factors, no anomalous dispersion.

```
data_YGePt
_symmetry_space_group_name_H-M 'A m m 2'
_symmetry_Int_Tables_number 38
_cell_length_a 3.5690
_cell_length_b 4.4205
_cell_length_c 7.6379
_cell_angle_alpha 90.00
_cell_angle_beta 90.00
_cell_angle_gamma 90.00
loop_
_symmetry_equiv_pos_as_xyz
'x,y,z'
'-x,-y,z'
'-x,y,z'
'x,-y,z'
'x,y+1/2,z+1/2'
'-x,-y+1/2,z+1/2'
'-x,y+1/2,z+1/2'
'x,-y+1/2,z+1/2'
loop_
_atom_site_label
_atom_site_type_symbol
_atom_site_fract_x
_atom_site_fract_y
_atom_site_fract_z
Y1 Y 0.0000 0.0000 0.0000
Ge1 Ge 0.5000 0.0000 0.6675
Pt1 Pt 0.5000 0.0000 0.3338
```

The 6 most intense peaks (2θ = 15–90°), low angle first:
(0 0 2), 23.26°, rel. 26
(1 1 1), 34.37°, rel. 100
(0 2 0), 40.88°, rel. 66
(1 2 0), 48.49°, rel. 20
(1 2 2), 54.45°, rel. 27
(2 2 0), 67.49°, rel. 30

[8]
Structure and theoretical XRD peak list of YGePt (a crystal structure in the Materials Project, relaxed with PBE; Cu Kα (λ = 1.5418 Å)).
Neutral-atom scattering factors, no anomalous dispersion.

```
data_YGePt
_symmetry_space_group_name_H-M 'P n m a'
_symmetry_Int_Tables_number 62
_cell_length_a 7.0912
_cell_length_b 4.3928
_cell_length_c 7.6936
_cell_angle_alpha 90.00
_cell_angle_beta 90.00
_cell_angle_gamma 90.00
loop_
_symmetry_equiv_pos_as_xyz
'x,y,z'
'-x,-y,-z'
'-x+1/2,-y,z+1/2'
'x+1/2,y,-z+1/2'
'x+1/2,-y+1/2,-z+1/2'
'-x+1/2,y+1/2,z+1/2'
'-x,y+1/2,-z'
'x,-y+1/2,z'
loop_
_atom_site_label
_atom_site_type_symbol
_atom_site_fract_x
_atom_site_fract_y
_atom_site_fract_z
Y1 Y 0.0016 0.2500 0.2021
Ge1 Ge 0.1879 0.2500 0.5909
Pt1 Pt 0.2034 0.7500 0.4165
```

The 6 most intense peaks (2θ = 15–90°), low angle first:
(1 1 1), 26.53°, rel. 51
(1 1 2), 33.44°, rel. 45
(2 0 2), 34.40°, rel. 41
(2 1 1), 34.54°, rel. 100
(0 1 3), 40.74°, rel. 86
(0 2 0), 41.10°, rel. 52

[9]
Structure and theoretical XRD peak list of YGe2Pt (a crystal structure in the Materials Project, relaxed with PBE; Cu Kα (λ = 1.5418 Å)).
Neutral-atom scattering factors, no anomalous dispersion.

```
data_YGe2Pt
_symmetry_space_group_name_H-M 'I m m m'
_symmetry_Int_Tables_number 71
_symmetry_space_group_name_Hall '-I 2 2'
_cell_length_a 4.3675
_cell_length_b 8.8004
_cell_length_c 16.4062
_cell_angle_alpha 90.00
_cell_angle_beta 90.00
_cell_angle_gamma 90.00
loop_
_atom_site_label
_atom_site_type_symbol
_atom_site_fract_x
_atom_site_fract_y
_atom_site_fract_z
Y1 Y 0.0000 0.0000 0.2027
Y2 Y 0.0000 0.2378 0.0000
Ge1 Ge 0.0000 0.0000 0.4260
Ge2 Ge 0.0000 0.3496 0.1991
Ge3 Ge 0.0000 0.5000 0.4258
Pt1 Pt 0.0000 0.2499 0.3517
```

The 6 most intense peaks (2θ = 15–90°), low angle first:
(0 2 0), 20.18°, rel. 25
(1 2 3), 33.22°, rel. 100
(1 0 5), 34.18°, rel. 37
(0 2 6), 38.77°, rel. 35
(2 0 0), 41.34°, rel. 45
(1 4 3), 49.28°, rel. 26

[10]
Structure and theoretical XRD peak list of Y2Ge3Pt9 (a crystal structure in the Materials Project, relaxed with PBE; Cu Kα (λ = 1.5418 Å)).
Neutral-atom scattering factors, no anomalous dispersion.

```
data_Y2Ge3Pt9
_symmetry_space_group_name_H-M 'C 1 2/c 1'
_symmetry_Int_Tables_number 15
_cell_length_a 13.5414
_cell_length_b 7.8451
_cell_length_c 10.1337
_cell_angle_alpha 90.00
_cell_angle_beta 116.80
_cell_angle_gamma 90.00
loop_
_symmetry_equiv_pos_as_xyz
'x,y,z'
'-x,-y,-z'
'-x,y,-z+1/2'
'x,-y,z+1/2'
'x+1/2,y+1/2,z'
'-x+1/2,-y+1/2,-z'
'-x+1/2,y+1/2,-z+1/2'
'x+1/2,-y+1/2,z+1/2'
loop_
_atom_site_label
_atom_site_type_symbol
_atom_site_fract_x
_atom_site_fract_y
_atom_site_fract_z
Y1 Y 0.1698 0.0855 0.2507
Ge1 Ge 0.0895 0.2289 0.4979
Ge2 Ge 0.2500 0.2500 0.0000
Pt1 Pt 0.0000 0.3663 0.2500
Pt2 Pt 0.0591 0.0813 0.9222
Pt3 Pt 0.1055 0.3101 0.7427
Pt4 Pt 0.1088 0.4112 0.0704
Pt5 Pt 0.2232 0.4171 0.4216
```

The 6 most intense peaks (2θ = 15–90°), low angle first:
(0 2 3), 37.60°, rel. 100
(3 1 2), 37.77°, rel. 49
(3 3 -1), 39.84°, rel. 70
(6 0 -2), 39.95°, rel. 32
(3 5 -4), 70.78°, rel. 25
(9 1 -6), 70.88°, rel. 25

[11]
Structure and theoretical XRD peak list of Pu3Ge (a crystal structure in the Materials Project, relaxed with PBE; Cu Kα (λ = 1.5418 Å)).
Neutral-atom scattering factors, no anomalous dispersion.

```
data_Pu3Ge
_symmetry_space_group_name_H-M 'P m -3 m'
_symmetry_Int_Tables_number 221
_symmetry_space_group_name_Hall '-P 4 2 3'
_cell_length_a 4.5984
_cell_length_b 4.5984
_cell_length_c 4.5984
_cell_angle_alpha 90.00
_cell_angle_beta 90.00
_cell_angle_gamma 90.00
loop_
_atom_site_label
_atom_site_type_symbol
_atom_site_fract_x
_atom_site_fract_y
_atom_site_fract_z
Pu1 Pu 0.0000 0.0000 0.5000
Ge1 Ge 0.5000 0.5000 0.5000
```

The 6 most intense peaks (2θ = 15–90°), low angle first:
(1 0 0), 19.30°, rel. 12
(1 1 1), 33.76°, rel. 100
(2 0 0), 39.18°, rel. 50
(2 2 0), 56.61°, rel. 35
(3 1 1), 67.56°, rel. 42
(2 2 2), 71.01°, rel. 12

[12]
Structure and theoretical XRD peak list of PuGe2 (a crystal structure in the Materials Project, relaxed with PBE; Cu Kα (λ = 1.5418 Å)).
Neutral-atom scattering factors, no anomalous dispersion.

```
data_PuGe2
_symmetry_space_group_name_H-M 'I 41/a m d'
_symmetry_Int_Tables_number 141
_cell_length_a 4.0401
_cell_length_b 4.0401
_cell_length_c 16.0342
_cell_angle_alpha 90.00
_cell_angle_beta 90.00
_cell_angle_gamma 90.00
loop_
_symmetry_equiv_pos_as_xyz
'x,y,z'
'-x,-y,-z'
'-y+1/4,x+3/4,z+1/4'
'y+1/4,-x+3/4,-z+1/4'
'-x+1/2,-y,z+1/2'
'x+1/2,y,-z+1/2'
'y+1/4,-x+1/4,z+3/4'
'-y+1/4,x+1/4,-z+3/4'
'x,-y,-z'
'-x,y,z'
'-y+1/4,-x+1/4,-z+3/4'
'y+1/4,x+1/4,z+3/4'
'-x+1/2,y,-z+1/2'
'x+1/2,-y,z+1/2'
'y+1/4,x+3/4,-z+1/4'
'-y+1/4,-x+3/4,z+1/4'
'x+1/2,y+1/2,z+1/2'
'-x+1/2,-y+1/2,-z+1/2'
'-y+3/4,x+1/4,z+3/4'
'y+3/4,-x+1/4,-z+3/4'
'-x,-y+1/2,z'
'x,y+1/2,-z'
'y+3/4,-x+3/4,z+1/4'
'-y+3/4,x+3/4,-z+1/4'
'x+1/2,-y+1/2,-z+1/2'
'-x+1/2,y+1/2,z+1/2'
'-y+3/4,-x+3/4,-z+1/4'
'y+3/4,x+3/4,z+1/4'
'-x,y+1/2,-z'
'x,-y+1/2,z'
'y+3/4,x+1/4,-z+3/4'
'-y+3/4,-x+1/4,z+3/4'
loop_
_atom_site_label
_atom_site_type_symbol
_atom_site_fract_x
_atom_site_fract_y
_atom_site_fract_z
Pu1 Pu 0.0000 0.2500 0.3750
Ge1 Ge 0.0000 0.2500 0.7953
```

The 6 most intense peaks (2θ = 15–90°), low angle first:
(1 0 3), 27.68°, rel. 40
(1 1 2), 33.29°, rel. 100
(1 0 5), 35.75°, rel. 53
(2 0 0), 44.87°, rel. 33
(1 0 7), 45.52°, rel. 30
(2 1 5), 58.65°, rel. 26